NiBi: simulated X-ray powder pattern (λ = 1.5418 Å (Cu Kα)), based on a DFT-relaxed cell (GGA-PBE, the Materials Project).
Kinematic intensities with the Lorentz-polarization factor, no thermal factor.

Principal peaks in the range 10 to 80 degrees two-theta, in order of rising 2θ:
2theta	I (rel.)
30.0	100.0
30.1	49.8
33.3	22.8
42.0	38.1
42.1	18.7
43.7	22.7
44.0	44.4
54.0	17.7
54.3	8.5
56.3	16.7
57.6	16.5
62.3	11.0

Atomic structure:
a = 8.233 Å, b = 8.233 Å, c = 12.886 Å
α = 118.46°, β = 118.46°, γ = 60.46°
Element x y z (fractional)
1 Ni 0.000 0.000 0.000
2 Ni 0.000 0.509 0.003
3 Ni 0.130 0.130 0.245
4 Ni 0.140 0.613 0.249
5 Ni 0.233 0.233 0.130
6 Ni 0.244 0.761 0.502
7 Ni 0.379 0.877 0.751
8 Ni 0.509 0.000 0.003
9 Ni 0.613 0.140 0.249
10 Ni 0.635 0.635 0.270
11 Ni 0.761 0.244 0.502
12 Ni 0.762 0.762 0.508
13 Ni 0.773 0.773 0.874
14 Ni 0.877 0.379 0.751
15 Ni 0.878 0.878 0.752
16 Ni 0.983 0.983 0.627
17 Bi 0.108 0.108 0.875
18 Bi 0.135 0.591 0.873
19 Bi 0.162 0.619 0.626
20 Bi 0.164 0.164 0.625
21 Bi 0.350 0.866 0.378
22 Bi 0.357 0.357 0.382
23 Bi 0.410 0.866 0.120
24 Bi 0.412 0.412 0.123
25 Bi 0.591 0.135 0.873
26 Bi 0.591 0.591 0.874
27 Bi 0.619 0.162 0.626
28 Bi 0.646 0.646 0.621
29 Bi 0.857 0.857 0.371
30 Bi 0.866 0.350 0.378
31 Bi 0.866 0.410 0.120
32 Bi 0.901 0.901 0.130